No. 1
Diffraction record for KBaFe4Se6. The powder diffractogram is computed, not measured: it uses DFT lattice parameters and positions (GGA-PBE) and Cu Kα.
Intensities are scaled so that the largest is 1000.

Peak list (10 most intense, 2θ from 10° to 80°, most intense first)
(hkl), Position (°2θ), I (rel.)
1 2 2, 29.42, 1000
0 1 1, 12.06, 316
2 0 4, 44.87, 258
2 4 0, 52.18, 182
0 1 3, 24.03, 148
2 3 1, 45.30, 146
3 2 2, 56.89, 140
1 1 3, 29.21, 130
0 0 2, 14.59, 123
0 4 4, 49.71, 109

Cell and atoms:
```
data_KBaFe4Se6
_cell_length_a 5.4107
_cell_length_b 9.2074
_cell_length_c 12.1431
_cell_angle_alpha 90.00
_cell_angle_beta 90.00
_cell_angle_gamma 90.00
_space_group_name_H-M_alt 'P m c 21'
_space_group_IT_number 26
loop_
_space_group_symop_operation_xyz
'x,y,z'
'-x,-y,z+1/2'
'-x,y,z'
'x,-y,z+1/2'
loop_
_atom_site_label
_atom_site_type_symbol
_atom_site_fract_x
_atom_site_fract_y
_atom_site_fract_z
K1 K 0.0000 0.2358 0.0000
Ba1 Ba 0.5000 0.2786 0.6520
Fe1 Fe 0.2501 0.3817 0.3185
Fe2 Fe 0.2517 0.1037 0.3359
Se1 Se 0.0000 0.0680 0.7385
Se2 Se 0.0000 0.2549 0.4558
Se3 Se 0.0000 0.4914 0.6870
Se4 Se 0.5000 0.0056 0.9729
Se5 Se 0.5000 0.2277 0.1984
Se6 Se 0.5000 0.4566 0.9232
```

No. 2
Diffraction record for BaLa2Fe. The powder diffractogram is computed, not measured: it uses DFT lattice parameters and positions (GGA-PBE) and Cu Kα.
Intensities are scaled so that the largest is 1000.

Peak list (10 most intense, 2θ from 10° to 80°, most intense first)
(hkl), Position (°2θ), I (rel.)
1 1 0, 34.74, 1000
0 0 3, 26.00, 839
0 1 1, 25.86, 682
0 1 2, 30.02, 666
1 0 -2, 29.86, 361
0 2 0, 49.95, 353
0 1 4, 43.04, 326
1 0 2, 30.18, 305
1 1 -3, 43.73, 292
1 1 3, 44.08, 281

Cell and atoms:
```
data_BaLa2Fe
_cell_length_a 3.6519
_cell_length_b 3.6517
_cell_length_c 10.2784
_cell_angle_alpha 90.00
_cell_angle_beta 90.63
_cell_angle_gamma 90.00
_space_group_name_H-M_alt 'P 1 2/m 1'
_space_group_IT_number 10
loop_
_space_group_symop_operation_xyz
'x,y,z'
'-x,-y,-z'
'-x,y,-z'
'x,-y,z'
loop_
_atom_site_label
_atom_site_type_symbol
_atom_site_fract_x
_atom_site_fract_y
_atom_site_fract_z
Ba1 Ba 0.0000 0.0000 0.0000
La1 La 0.4929 0.5000 0.6612
Fe1 Fe 0.0000 0.0000 0.5000
```